Theoretical powder diffraction line list of Gd3Ni13C2 for λ = 1.5418 Å (Cu Kα), from a DFT-relaxed cell (GGA-PBE, OQMD).

```
Gd3Ni13C2
1.0
4.9950 0.0000 0.0000
-2.4975 4.3258 0.0000
0.0000 0.0000 10.7789
Gd Ni C
3 13 2
Direct
0.0000 0.0000 0.0000
0.0000 0.0000 0.3291
0.0000 0.0000 0.6709
0.0000 0.5000 0.1247
0.0000 0.5000 0.5000
0.0000 0.5000 0.8753
0.3333 0.6667 0.3151
0.3333 0.6667 0.6849
0.5000 0.0000 0.1247
0.5000 0.0000 0.5000
0.5000 0.0000 0.8753
0.5000 0.5000 0.1247
0.5000 0.5000 0.5000
0.5000 0.5000 0.8753
0.6667 0.3333 0.3151
0.6667 0.3333 0.6849
0.3333 0.6667 0.0000
0.6667 0.3333 0.0000
```

Main lines, by angle (15° ≤ 2θ ≤ 90°):
(1 0 3), d = 2.764 Å, I 71.8
(1 1 0), d = 2.498 Å, I 34.7
(2 0 0), d = 2.163 Å, I 62.4
(0 0 5), d = 2.156 Å, I 12.8
(1 1 3), d = 2.051 Å, I 100.0
(0 0 6), d = 1.796 Å, I 10.6
(2 1 3), d = 1.488 Å, I 22.0
(1 1 6), d = 1.458 Å, I 15.9
(3 0 3), d = 1.338 Å, I 23.6
(2 2 0), d = 1.249 Å, I 20.6

***

Theoretical powder diffraction line list of Gd4PbC2Se for λ = 1.5418 Å (Cu Kα), from a DFT-relaxed cell (GGA-PBE, OQMD).

```
Gd4PbC2Se
1.0
3.7492 0.0000 0.0000
-1.8746 3.2469 0.0000
0.0000 0.0000 14.8725
Gd Pb C Se
4 1 2 1
Direct
0.0000 0.0000 0.1357
0.0000 0.0000 0.8643
0.6667 0.3333 0.3182
0.6667 0.3333 0.6818
0.0000 0.0000 0.5000
0.3333 0.6667 0.2295
0.3333 0.6667 0.7705
0.6667 0.3333 0.0000
```

Main lines, by angle (15° ≤ 2θ ≤ 90°):
(1 0 0), d = 3.247 Å, I 29.4
(0 0 5), d = 2.975 Å, I 25.4
(1 0 3), d = 2.716 Å, I 100.0
(0 0 6), d = 2.479 Å, I 10.4
(1 1 0), d = 1.875 Å, I 27.3
(1 0 8), d = 1.613 Å, I 14.9
(1 1 5), d = 1.586 Å, I 12.3
(2 0 3), d = 1.543 Å, I 18.2
(1 1 6), d = 1.495 Å, I 13.3
(2 1 3), d = 1.191 Å, I 15.7

***

Theoretical powder diffraction line list of Gd3TmPb2C2 for λ = 1.5418 Å (Cu Kα), from a DFT-relaxed cell (GGA-PBE, OQMD).

```
Gd3TmPb2C2
1.0
3.6478 0.0000 0.0000
-1.8239 3.1591 0.0000
0.0000 0.0000 16.2355
Gd Tm Pb C
3 1 2 2
Direct
0.0000 0.0000 0.0000
0.0000 0.0000 0.3353
0.3333 0.6667 0.5029
0.3333 0.6667 0.8367
0.0000 0.0000 0.6726
0.3333 0.6667 0.1678
0.6667 0.3333 0.4193
0.6667 0.3333 0.9156
```

Main lines, by angle (15° ≤ 2θ ≤ 90°):
(1 0 0), d = 3.159 Å, I 22.4
(0 1 3), d = 2.728 Å, I 100.0
(0 0 6), d = 2.706 Å, I 20.8
(1 0 6), d = 2.055 Å, I 16.0
(1 1 0), d = 1.824 Å, I 21.5
(0 1 9), d = 1.567 Å, I 18.9
(2 0 3), d = 1.516 Å, I 17.1
(1 1 6), d = 1.512 Å, I 21.9
(2 0 9), d = 1.188 Å, I 7.8
(1 2 3), d = 1.166 Å, I 14.9

***

Repeat the first record exactly.
Theoretical powder diffraction line list of Gd3Ni13C2 for λ = 1.5418 Å (Cu Kα), from a DFT-relaxed cell (GGA-PBE, OQMD).

```
Gd3Ni13C2
1.0
4.9950 0.0000 0.0000
-2.4975 4.3258 0.0000
0.0000 0.0000 10.7789
Gd Ni C
3 13 2
Direct
0.0000 0.0000 0.0000
0.0000 0.0000 0.3291
0.0000 0.0000 0.6709
0.0000 0.5000 0.1247
0.0000 0.5000 0.5000
0.0000 0.5000 0.8753
0.3333 0.6667 0.3151
0.3333 0.6667 0.6849
0.5000 0.0000 0.1247
0.5000 0.0000 0.5000
0.5000 0.0000 0.8753
0.5000 0.5000 0.1247
0.5000 0.5000 0.5000
0.5000 0.5000 0.8753
0.6667 0.3333 0.3151
0.6667 0.3333 0.6849
0.3333 0.6667 0.0000
0.6667 0.3333 0.0000
```

Main lines, by angle (15° ≤ 2θ ≤ 90°):
(1 0 3), d = 2.764 Å, I 71.8
(1 1 0), d = 2.498 Å, I 34.7
(2 0 0), d = 2.163 Å, I 62.4
(0 0 5), d = 2.156 Å, I 12.8
(1 1 3), d = 2.051 Å, I 100.0
(0 0 6), d = 1.796 Å, I 10.6
(2 1 3), d = 1.488 Å, I 22.0
(1 1 6), d = 1.458 Å, I 15.9
(3 0 3), d = 1.338 Å, I 23.6
(2 2 0), d = 1.249 Å, I 20.6